1.
For LaNd12Cd3, a crystal structure in Alexandria, relaxed with GGA-PBE gives the computed powder X-ray diffraction pattern in this record (λ = 1.5418 Å (Cu Kα)).
Peak positions follow from Bragg's law for the DFT cell and can differ from measured ones.

Atomic structure:
a b c (Å): 5.022 5.022 20.405
angles (deg): 90.00 90.00 90.00
Space group P4/mmm (No. 123)
Asymmetric unit:
La  0.000  0.000  0.000 (multiplicity 1)
Nd  0.000  0.500  0.133 (multiplicity 4)
Nd  0.000  0.500  0.378 (multiplicity 4)
Nd  0.500  0.500  0.000 (multiplicity 1)
Nd  0.500  0.500  0.256 (multiplicity 2)
Nd  0.500  0.500  0.500 (multiplicity 1)
Cd  0.000  0.000  0.258 (multiplicity 2)
Cd  0.000  0.000  0.500 (multiplicity 1)

Principal peaks in the range 2θ = 5–70°, sorted by position:
| two_theta | d [Å] | Rel. int. |
| --- | --- | --- |
| 30.68 | 2.914 | 100.0 |
| 33.45 | 2.679 | 1.0 |
| 35.18 | 2.551 | 16.2 |
| 35.76 | 2.511 | 33.6 |
| 51.04 | 1.789 | 22.4 |
| 51.47 | 1.775 | 11.8 |
| 54.52 | 1.683 | 0.9 |
| 55.92 | 1.644 | 1.0 |
| 60.35 | 1.534 | 12.2 |
| 61.12 | 1.516 | 27.9 |
| 63.88 | 1.457 | 11.4 |
| 64.96 | 1.436 | 1.1 |

---

2.
For NpIn3F7, a crystal structure in Alexandria, relaxed with GGA-PBE gives the computed powder X-ray diffraction pattern in this record (λ = 1.5418 Å (Cu Kα)).
Peak positions follow from Bragg's law for the DFT cell and can differ from measured ones.

Atomic structure:
a b c (Å): 8.849 8.991 6.993
angles (deg): 90.00 118.53 90.00
Space group Cm (No. 8)
Asymmetric unit:
Np  0.000  0.000  0.000 (multiplicity 2)
In  0.018  0.500  0.055 (multiplicity 2)
In  0.489  0.230  0.522 (multiplicity 4)
F  0.001  0.500  0.717 (multiplicity 2)
F  0.157  0.000  0.839 (multiplicity 2)
F  0.162  0.172  0.221 (multiplicity 4)
F  0.335  0.500  0.152 (multiplicity 2)
F  0.354  0.322  0.771 (multiplicity 4)

Principal peaks in the range 2θ = 5–70°, sorted by position:
| two_theta | d [Å] | Rel. int. |
| --- | --- | --- |
| 16.68 | 5.314 | 18.3 |
| 22.88 | 3.887 | 48.9 |
| 24.53 | 3.629 | 100.0 |
| 27.07 | 3.294 | 35.3 |
| 28.53 | 3.129 | 43.6 |
| 29.07 | 3.072 | 18.9 |
| 38.42 | 2.343 | 32.5 |
| 40.12 | 2.248 | 12.9 |
| 41.45 | 2.178 | 13.8 |
| 43.80 | 2.067 | 20.7 |
| 46.35 | 1.959 | 21.7 |
| 46.67 | 1.946 | 17.0 |

---

3.
For Ca5ReN4Cl2, a crystal structure in Alexandria, relaxed with GGA-PBE gives the computed powder X-ray diffraction pattern in this record (λ = 1.5418 Å (Cu Kα)).
Peak positions follow from Bragg's law for the DFT cell and can differ from measured ones.

Atomic structure:
a b c (Å): 7.808 9.069 6.198
angles (deg): 90.00 90.00 90.00
Space group Amm2 (No. 38)
Asymmetric unit:
Ca  0.000  0.000  0.000 (multiplicity 2)
Ca  0.309  0.192  0.370 (multiplicity 8)
Re  0.500  0.000  0.905 (multiplicity 2)
N  0.297  0.000  0.070 (multiplicity 4)
N  0.500  0.148  0.666 (multiplicity 4)
Cl  0.000  0.195  0.647 (multiplicity 4)

Principal peaks in the range 2θ = 5–70°, sorted by position:
| two_theta | d [Å] | Rel. int. |
| --- | --- | --- |
| 11.33 | 7.808 | 73.9 |
| 17.33 | 5.117 | 64.9 |
| 20.75 | 4.280 | 48.0 |
| 22.72 | 3.914 | 43.9 |
| 28.77 | 3.103 | 100.0 |
| 30.21 | 2.959 | 29.8 |
| 31.05 | 2.880 | 38.7 |
| 32.97 | 2.717 | 69.0 |
| 34.97 | 2.566 | 33.7 |
| 38.82 | 2.320 | 22.4 |
| 42.23 | 2.140 | 55.3 |
| 50.00 | 1.824 | 30.1 |

---

4.
For Tb2Y3Sc4, a crystal structure in Alexandria, relaxed with GGA-PBE gives the computed powder X-ray diffraction pattern in this record (λ = 1.5418 Å (Cu Kα)).
Peak positions follow from Bragg's law for the DFT cell and can differ from measured ones.

Atomic structure:
a b c (Å): 16.004 11.231 5.794
angles (deg): 90.00 97.32 90.00
Space group C2/c (No. 15)
Asymmetric unit:
Tb  0.123  0.126  0.302 (multiplicity 8)
Y  0.000  0.126  0.750 (multiplicity 4)
Y  0.161  0.391  0.604 (multiplicity 8)
Sc  0.049  0.374  0.033 (multiplicity 8)
Sc  0.230  0.139  0.847 (multiplicity 8)

Principal peaks in the range 2θ = 5–70°, sorted by position:
| two_theta | d [Å] | Rel. int. |
| --- | --- | --- |
| 9.65 | 9.168 | 22.2 |
| 22.13 | 4.016 | 21.5 |
| 30.22 | 2.958 | 18.1 |
| 31.43 | 2.846 | 47.5 |
| 31.91 | 2.804 | 100.0 |
| 33.12 | 2.705 | 89.3 |
| 38.93 | 2.313 | 27.6 |
| 39.36 | 2.289 | 30.5 |
| 51.51 | 1.774 | 12.6 |
| 53.54 | 1.712 | 11.2 |
| 57.59 | 1.600 | 17.6 |
| 58.12 | 1.587 | 15.1 |